[1]
Fe3MoIr4: simulated X-ray diffraction stick pattern (Cu Kα (weighted mean of Kα1 and Kα2)), based on a crystal structure in Alexandria, relaxed with GGA-PBE.

Unit cell a=8.678 b=5.454 c=4.613 alpha=90.00 beta=90.00 gamma=90.00
Fractional coordinates of all 16 atoms:
Fe  0.000  0.000  0.000
Fe  0.250  0.000  0.339
Fe  0.250  0.500  0.346
Fe  0.500  0.000  0.000
Fe  0.750  0.000  0.661
Fe  0.750  0.500  0.654
Mo  0.000  0.500  0.000
Mo  0.500  0.500  0.000
Ir  0.000  0.248  0.500
Ir  0.000  0.752  0.500
Ir  0.250  0.243  0.850
Ir  0.250  0.757  0.850
Ir  0.500  0.248  0.500
Ir  0.500  0.752  0.500
Ir  0.750  0.243  0.150
Ir  0.750  0.757  0.150

The 12 most intense peaks (2θ from 10° to 80°), sorted by position:
2θ/deg  d [Å]  I (rel.)
21.8  4.073  19.0
28.2  3.161  33.9
32.8  2.727  19.8
39.8  2.266  32.0
40.5  2.229  20.4
41.6  2.170  45.8
43.8  2.065  100.0
44.5  2.037  35.0
50.0  1.823  16.4
50.6  1.803  10.6
70.3  1.339  18.6
77.5  1.231  18.6

[2]
Pr2MgSb4: simulated X-ray diffraction stick pattern (Cu Kα (weighted mean of Kα1 and Kα2)), based on a crystal structure in Alexandria, relaxed with GGA-PBE.

Unit cell a=4.331 b=4.331 c=11.335 alpha=90.00 beta=90.00 gamma=90.00
Fractional coordinates of all 7 atoms:
Pr  0.000  0.500  0.230
Pr  0.500  0.000  0.770
Mg  0.000  0.000  0.500
Sb  0.000  0.000  0.000
Sb  0.000  0.500  0.667
Sb  0.500  0.000  0.333
Sb  0.500  0.500  0.000

The 12 most intense peaks (2θ from 10° to 80°), sorted by position:
2θ/deg  d [Å]  I (rel.)
23.5  3.778  17.0
25.9  3.441  34.2
30.2  2.956  26.2
31.4  2.847  17.9
33.3  2.694  100.0
37.9  2.371  19.4
41.7  2.165  37.9
45.1  2.008  18.2
53.2  1.722  17.4
60.5  1.531  12.5
63.1  1.473  13.2
70.8  1.331  21.8

[3]
RbSn4Ge2: simulated X-ray diffraction stick pattern (Cu Kα (weighted mean of Kα1 and Kα2)), based on a crystal structure in Alexandria, relaxed with GGA-PBE.

Unit cell a=9.110 b=9.110 c=4.927 alpha=90.00 beta=90.00 gamma=90.00
Fractional coordinates of all 14 atoms:
Rb  0.000  0.000  0.000
Rb  0.500  0.500  0.500
Sn  0.074  0.335  0.500
Sn  0.165  0.574  0.000
Sn  0.335  0.074  0.500
Sn  0.426  0.835  0.000
Sn  0.574  0.165  0.000
Sn  0.665  0.926  0.500
Sn  0.835  0.426  0.000
Sn  0.926  0.665  0.500
Ge  0.228  0.772  0.500
Ge  0.272  0.272  0.000
Ge  0.728  0.728  0.000
Ge  0.772  0.228  0.500

The 12 most intense peaks (2θ from 10° to 80°), sorted by position:
2θ/deg  d [Å]  I (rel.)
13.7  6.442  28.0
28.4  3.140  100.0
31.0  2.881  36.7
33.2  2.696  50.9
36.1  2.487  78.7
36.5  2.464  41.8
40.8  2.210  32.2
48.6  1.872  21.3
53.6  1.709  18.8
55.9  1.645  26.1
67.1  1.395  14.7
76.6  1.243  14.8

[4]
ThO2: simulated X-ray diffraction stick pattern (Cu Kα (weighted mean of Kα1 and Kα2)), based on a crystal structure in Alexandria, relaxed with GGA-PBE.

Unit cell a=3.973 b=3.973 c=3.973 alpha=60.00 beta=60.00 gamma=60.00
Fractional coordinates of all 3 atoms:
Th  0.000  0.000  0.000
O  0.250  0.250  0.250
O  0.750  0.750  0.750

The 8 most intense peaks (2θ from 10° to 80°), sorted by position:
2θ/deg  d [Å]  I (rel.)
27.5  3.244  100.0
31.9  2.809  36.9
45.7  1.986  50.4
54.1  1.694  48.0
56.8  1.622  10.8
66.6  1.405  8.0
73.5  1.289  19.8
75.7  1.256  14.7

[5]
LaZn2Ag: simulated X-ray diffraction stick pattern (Cu Kα (weighted mean of Kα1 and Kα2)), based on a crystal structure in Alexandria, relaxed with GGA-PBE.

Unit cell a=3.622 b=4.770 c=5.386 alpha=90.00 beta=90.07 gamma=90.00
Fractional coordinates of all 4 atoms:
La  0.000  0.000  0.000
Zn  0.500  0.500  0.257
Zn  0.500  0.500  0.743
Ag  0.500  0.000  0.500

The 12 most intense peaks (2θ from 10° to 80°), sorted by position:
2θ/deg  d [Å]  I (rel.)
18.6  4.770  23.1
29.7  3.006  85.2
31.0  2.885  32.5
35.3  2.543  96.9
37.7  2.385  52.7
38.4  2.345  100.0
48.7  1.868  42.3
50.4  1.811  22.4
60.8  1.524  23.8
64.6  1.442  20.6
65.1  1.433  40.4
68.5  1.369  17.1

[6]
Cs2LiMnBr6: simulated X-ray diffraction stick pattern (Cu Kα (weighted mean of Kα1 and Kα2)), based on a crystal structure in Alexandria, relaxed with GGA-PBE.

Unit cell a=7.684 b=7.684 c=6.547 alpha=90.00 beta=90.00 gamma=120.00
Fractional coordinates of all 10 atoms:
Cs  0.333  0.667  0.264
Cs  0.667  0.333  0.736
Li  0.000  0.000  0.000
Mn  0.000  0.000  0.500
Br  0.157  0.314  0.731
Br  0.157  0.843  0.731
Br  0.314  0.157  0.269
Br  0.686  0.843  0.731
Br  0.843  0.157  0.269
Br  0.843  0.686  0.269

The 12 most intense peaks (2θ from 10° to 80°), sorted by position:
2θ/deg  d [Å]  I (rel.)
19.0  4.667  10.0
26.8  3.327  15.9
27.2  3.273  23.9
30.1  2.966  100.0
38.6  2.333  24.4
47.3  1.921  21.1
50.0  1.825  23.0
55.5  1.657  17.9
57.1  1.612  14.7
71.3  1.323  7.5
76.5  1.246  8.5
77.3  1.235  11.6

[7]
Ba4Cd6Cl19: simulated X-ray diffraction stick pattern (Cu Kα (weighted mean of Kα1 and Kα2)), based on a crystal structure in Alexandria, relaxed with GGA-PBE.

Unit cell a=10.147 b=10.147 c=10.147 alpha=109.47 beta=109.47 gamma=109.47
Fractional coordinates of all 29 atoms:
Ba  0.000  0.000  0.674
Ba  0.000  0.674  0.000
Ba  0.326  0.326  0.326
Ba  0.674  0.000  0.000
Cd  0.166  0.666  0.500
Cd  0.334  0.500  0.834
Cd  0.500  0.166  0.666
Cd  0.500  0.834  0.334
Cd  0.666  0.500  0.166
Cd  0.834  0.334  0.500
Cl  0.000  0.000  0.000
Cl  0.000  0.334  0.334
Cl  0.000  0.666  0.666
Cl  0.020  0.366  0.773
Cl  0.227  0.593  0.246
Cl  0.246  0.227  0.593
Cl  0.334  0.000  0.334
Cl  0.334  0.334  0.000
Cl  0.346  0.980  0.754
Cl  0.366  0.773  0.020
Cl  0.407  0.634  0.654
Cl  0.593  0.246  0.227
Cl  0.634  0.654  0.407
Cl  0.654  0.407  0.634
Cl  0.666  0.000  0.666
Cl  0.666  0.666  0.000
Cl  0.754  0.346  0.980
Cl  0.773  0.020  0.366
Cl  0.980  0.754  0.346

The 12 most intense peaks (2θ from 10° to 80°), sorted by position:
2θ/deg  d [Å]  I (rel.)
18.5  4.783  68.3
24.0  3.705  86.1
28.5  3.131  79.1
32.4  2.762  100.0
37.6  2.392  44.4
39.2  2.298  58.1
45.1  2.009  26.0
46.5  1.953  56.8
47.9  1.901  22.7
53.0  1.728  20.1
57.8  1.594  23.9
67.9  1.381  27.6

[8]
KNaTl11: simulated X-ray diffraction stick pattern (Cu Kα (weighted mean of Kα1 and Kα2)), based on a crystal structure in Alexandria, relaxed with GGA-PBE.

Unit cell a=8.636 b=8.636 c=8.661 alpha=97.22 beta=97.22 gamma=136.48
Fractional coordinates of all 13 atoms:
K  0.000  0.000  0.000
Na  0.500  0.500  0.500
Tl  0.000  0.000  0.500
Tl  0.000  0.500  0.000
Tl  0.002  0.362  0.358
Tl  0.290  0.502  0.786
Tl  0.362  0.002  0.358
Tl  0.498  0.710  0.214
Tl  0.500  0.000  0.000
Tl  0.502  0.290  0.786
Tl  0.638  0.998  0.642
Tl  0.710  0.498  0.214
Tl  0.998  0.638  0.642

The 12 most intense peaks (2θ from 10° to 80°), sorted by position:
2θ/deg  d [Å]  I (rel.)
11.0  8.021  51.3
16.0  5.531  48.7
27.5  3.242  43.8
30.9  2.895  58.4
31.3  2.858  82.4
31.6  2.832  55.6
31.7  2.820  100.0
34.9  2.574  65.3
35.1  2.554  75.8
35.3  2.540  43.7
35.6  2.525  56.5
35.9  2.501  66.5

[9]
Ho2PaRuO8: simulated X-ray diffraction stick pattern (Cu Kα (weighted mean of Kα1 and Kα2)), based on a crystal structure in Alexandria, relaxed with GGA-PBE.

Unit cell a=5.012 b=5.012 c=6.751 alpha=90.00 beta=90.00 gamma=91.43
Fractional coordinates of all 12 atoms:
Ho  0.000  0.000  0.240
Ho  0.000  0.000  0.760
Pa  0.500  0.500  0.500
Ru  0.500  0.500  0.000
O  0.199  0.199  0.500
O  0.221  0.221  0.000
O  0.318  0.682  0.230
O  0.318  0.682  0.770
O  0.682  0.318  0.230
O  0.682  0.318  0.770
O  0.779  0.779  0.000
O  0.801  0.801  0.500

The 12 most intense peaks (2θ from 10° to 80°), sorted by position:
2θ/deg  d [Å]  I (rel.)
22.1  4.024  11.5
24.8  3.588  59.6
25.4  3.500  53.5
32.0  2.799  100.0
35.8  2.505  30.7
48.4  1.880  41.2
49.1  1.854  36.8
52.3  1.750  9.4
58.7  1.573  10.2
60.6  1.527  9.8
62.0  1.497  22.3
66.8  1.400  10.8

[10]
Li2Sn2Bi: simulated X-ray diffraction stick pattern (Cu Kα (weighted mean of Kα1 and Kα2)), based on a crystal structure in Alexandria, relaxed with GGA-PBE.

Unit cell a=10.997 b=10.997 c=3.270 alpha=90.00 beta=90.00 gamma=162.62
Fractional coordinates of all 5 atoms:
Li  0.098  0.902  0.000
Li  0.902  0.098  0.000
Sn  0.311  0.689  0.500
Sn  0.689  0.311  0.500
Bi  0.500  0.500  0.500

The 12 most intense peaks (2θ from 10° to 80°), sorted by position:
2θ/deg  d [Å]  I (rel.)
16.3  5.435  62.7
24.6  3.624  72.2
27.1  3.285  73.6
27.3  3.270  84.5
31.9  2.802  29.9
34.0  2.640  100.0
37.0  2.427  56.2
38.9  2.317  65.4
44.1  2.054  89.8
50.4  1.811  28.0
61.5  1.507  34.5
67.4  1.390  29.0